No. 1
# RbAcIO6
Theoretical powder diffraction line list, Cu Kα. Input: a GGA-PBE-relaxed structure.
No peak broadening, texture or thermal motion is included.

abc: 6.166 6.166 11.180
angles: 90.00 90.00 120.00
Fractional positions:
Rb (0.000, 0.000, 0.000)
Rb (0.000, 0.000, 0.500)
Ac (0.333, 0.667, 0.250)
Ac (0.667, 0.333, 0.750)
I (0.333, 0.667, 0.750)
I (0.667, 0.333, 0.250)
O (0.073, 0.419, 0.653)
O (0.073, 0.654, 0.847)
O (0.346, 0.419, 0.847)
O (0.346, 0.927, 0.653)
O (0.419, 0.073, 0.153)
O (0.419, 0.346, 0.347)
O (0.581, 0.654, 0.653)
O (0.581, 0.927, 0.847)
O (0.654, 0.073, 0.347)
O (0.654, 0.581, 0.153)
O (0.927, 0.346, 0.153)
O (0.927, 0.581, 0.347)

Largest 10 diffraction maxima, in order of rising 2θ, 2θ from 10° to 80°:
| two_theta | I (rel.) |
| --- | --- |
| 15.85 | 49 |
| 16.60 | 17 |
| 23.03 | 100 |
| 28.96 | 62 |
| 33.19 | 36 |
| 37.32 | 25 |
| 43.71 | 55 |
| 47.92 | 26 |
| 51.33 | 17 |
| 61.79 | 16 |


No. 2
# V2FeCo7Ge2
Theoretical powder diffraction line list, Cu Kα. Input: a GGA-PBE-relaxed structure.
No peak broadening, texture or thermal motion is included.

abc: 3.310 3.310 13.950
angles: 96.70 96.70 90.00
Fractional positions:
V (0.131, 0.131, 0.266)
V (0.869, 0.869, 0.734)
Fe (0.500, 0.500, 0.000)
Co (0.000, 0.000, 0.000)
Co (0.068, 0.568, 0.138)
Co (0.227, 0.227, 0.447)
Co (0.432, 0.932, 0.862)
Co (0.568, 0.068, 0.138)
Co (0.773, 0.773, 0.553)
Co (0.932, 0.432, 0.862)
Ge (0.311, 0.311, 0.625)
Ge (0.689, 0.689, 0.375)

Largest 10 diffraction maxima, in order of rising 2θ, 2θ from 10° to 80°:
| two_theta | I (rel.) |
| --- | --- |
| 38.46 | 35 |
| 39.04 | 81 |
| 40.15 | 46 |
| 43.39 | 94 |
| 43.46 | 33 |
| 45.45 | 85 |
| 46.18 | 27 |
| 46.94 | 49 |
| 51.20 | 42 |
| 55.53 | 100 |


No. 3
# SmHF4
Theoretical powder diffraction line list, Cu Kα. Input: a GGA-PBE-relaxed structure.
No peak broadening, texture or thermal motion is included.

abc: 6.087 6.087 6.087
angles: 108.29 108.29 111.86
Fractional positions:
Sm (0.000, 0.000, 0.000)
Sm (0.750, 0.250, 0.500)
H (0.372, 0.872, 0.500)
H (0.622, 0.622, 0.000)
F (0.013, 0.325, 0.313)
F (0.013, 0.700, 0.687)
F (0.075, 0.263, 0.813)
F (0.253, 0.912, 0.341)
F (0.450, 0.263, 0.187)
F (0.571, 0.912, 0.659)
F (0.662, 0.503, 0.841)
F (0.662, 0.821, 0.159)

Largest 10 diffraction maxima, in order of rising 2θ, 2θ from 10° to 80°:
| two_theta | I (rel.) |
| --- | --- |
| 18.00 | 100 |
| 24.98 | 59 |
| 30.96 | 28 |
| 31.68 | 35 |
| 40.18 | 28 |
| 41.70 | 21 |
| 47.90 | 22 |
| 48.40 | 36 |
| 49.23 | 12 |
| 61.52 | 13 |


No. 4
# ZnSi5
Theoretical powder diffraction line list, Cu Kα. Input: a GGA-PBE-relaxed structure.
No peak broadening, texture or thermal motion is included.

abc: 5.127 5.127 4.277
angles: 90.00 90.00 120.00
Fractional positions:
Zn (0.000, 0.000, 0.000)
Si (0.000, 0.500, 0.500)
Si (0.333, 0.667, 0.000)
Si (0.500, 0.000, 0.500)
Si (0.500, 0.500, 0.500)
Si (0.667, 0.333, 0.000)

Largest 10 diffraction maxima, in order of rising 2θ, 2θ from 10° to 80°:
| two_theta | I (rel.) |
| --- | --- |
| 28.99 | 54 |
| 35.00 | 32 |
| 40.64 | 35 |
| 41.05 | 100 |
| 42.26 | 28 |
| 56.00 | 16 |
| 60.07 | 21 |
| 66.90 | 22 |
| 73.95 | 16 |
| 76.45 | 15 |


No. 5
# CsZrCu3
Theoretical powder diffraction line list, Cu Kα. Input: a GGA-PBE-relaxed structure.
No peak broadening, texture or thermal motion is included.

abc: 5.268 5.268 5.268
angles: 90.00 90.00 90.00
Fractional positions:
Cs (0.000, 0.000, 0.000)
Zr (0.500, 0.500, 0.500)
Cu (0.000, 0.500, 0.500)
Cu (0.500, 0.000, 0.500)
Cu (0.500, 0.500, 0.000)

Largest 10 diffraction maxima, in order of rising 2θ, 2θ from 10° to 80°:
| two_theta | I (rel.) |
| --- | --- |
| 23.89 | 64 |
| 29.36 | 64 |
| 34.03 | 100 |
| 42.01 | 28 |
| 48.90 | 69 |
| 55.13 | 13 |
| 58.07 | 26 |
| 60.92 | 23 |
| 66.39 | 15 |
| 71.65 | 11 |